Entry 1:
Calculated XRD peak list of H3Pd5Pt for λ = 1.5418 Å (Cu Kα), from a structure optimized by DFT (GGA-PBE).

Largest 12 diffraction maxima, most intense first, 10 to 90 degrees two-theta:
2theta	I (rel.)
37.53	100
40.47	90
40.78	87
69.49	25
75.95	25
70.15	25
66.62	16
53.62	16
42.46	15
35.84	14
54.62	14
41.85	13

Crystal structure
Cell: 8.819 4.794 4.794 Å, 90.99 90.00 90.00°
Fractional positions:
H  0.000  0.000  0.000
H  0.167  0.460  0.460
H  0.324  0.988  0.988
H  0.500  0.466  0.466
H  0.676  0.988  0.988
H  0.833  0.460  0.460
Pd  0.000  0.238  0.672
Pd  0.000  0.672  0.238
Pd  0.167  0.740  0.740
Pd  0.334  0.240  0.673
Pd  0.334  0.673  0.240
Pd  0.500  0.174  0.174
Pd  0.500  0.742  0.742
Pd  0.666  0.240  0.673
Pd  0.666  0.673  0.240
Pd  0.833  0.740  0.740
Pt  0.168  0.175  0.175
Pt  0.832  0.175  0.175

Entry 2:
Calculated XRD peak list of Pm3Sm4Sc for λ = 1.5418 Å (Cu Kα), from a structure optimized by DFT (GGA-PBE).

Largest 12 diffraction maxima, most intense first, 10 to 90 degrees two-theta:
2theta	I (rel.)
30.22	100
32.31	43
60.49	22
60.84	12
47.29	12
58.79	11
66.67	10
40.01	8
42.23	8
43.84	7
88.60	7
52.33	7

Crystal structure
Cell: 9.170 9.170 9.170 Å, 122.93 122.93 85.00°
Fractional positions:
Pm  0.149  0.649  0.797
Pm  0.250  0.250  0.000
Pm  0.351  0.149  0.500
Pm  0.649  0.851  0.500
Pm  0.750  0.750  0.000
Pm  0.851  0.351  0.203
Sm  0.010  0.814  0.500
Sm  0.186  0.686  0.197
Sm  0.314  0.510  0.500
Sm  0.490  0.990  0.803
Sm  0.510  0.010  0.197
Sm  0.686  0.490  0.500
Sm  0.814  0.314  0.803
Sm  0.990  0.186  0.500
Sc  0.000  0.000  0.000
Sc  0.500  0.500  0.000

Please write out number 2 again, unchanged.
Calculated XRD peak list of Pm3Sm4Sc for λ = 1.5418 Å (Cu Kα), from a structure optimized by DFT (GGA-PBE).

Largest 12 diffraction maxima, most intense first, 10 to 90 degrees two-theta:
2theta	I (rel.)
30.22	100
32.31	43
60.49	22
60.84	12
47.29	12
58.79	11
66.67	10
40.01	8
42.23	8
43.84	7
88.60	7
52.33	7

Crystal structure
Cell: 9.170 9.170 9.170 Å, 122.93 122.93 85.00°
Fractional positions:
Pm  0.149  0.649  0.797
Pm  0.250  0.250  0.000
Pm  0.351  0.149  0.500
Pm  0.649  0.851  0.500
Pm  0.750  0.750  0.000
Pm  0.851  0.351  0.203
Sm  0.010  0.814  0.500
Sm  0.186  0.686  0.197
Sm  0.314  0.510  0.500
Sm  0.490  0.990  0.803
Sm  0.510  0.010  0.197
Sm  0.686  0.490  0.500
Sm  0.814  0.314  0.803
Sm  0.990  0.186  0.500
Sc  0.000  0.000  0.000
Sc  0.500  0.500  0.000